Structure and calculated powder diffraction line list of Rb2BaTbF8 (DFT lattice parameters and positions (GGA-PBE); a wavelength of 1.5418 Å).
No peak broadening, texture or thermal motion is included.

Principal peaks in the range 10 to 80 degrees two-theta, sorted by position:
2θ 15.9, I = 17; 2θ 25.0, I = 100; 2θ 28.4, I = 17; 2θ 40.6, I = 22; 2θ 41.8, I = 41; 2θ 48.3, I = 32; 2θ 50.3, I = 14; 2θ 51.3, I = 8; 2θ 66.5, I = 13; 2θ 74.7, I = 11

Crystal structure
Unit cell a=7.4369 b=7.4369 c=7.4369 alpha=130.03 beta=130.03 gamma=73.35
Element x y z (fractional)
Rb (0.0000, 0.0000, 0.0000)
Rb (0.7500, 0.2500, 0.5000)
Ba (0.5000, 0.5000, 0.0000)
Tb (0.2500, 0.7500, 0.5000)
F (0.1596, 0.0855, 0.5183)
F (0.1596, 0.6413, 0.0741)
F (0.3587, 0.4328, 0.5183)
F (0.3587, 0.8404, 0.9259)
F (0.5672, 0.0855, 0.9259)
F (0.5672, 0.6413, 0.4817)
F (0.9145, 0.4328, 0.0741)
F (0.9145, 0.8404, 0.4817)